[1]
Starting from a DFT-relaxed cell (GGA-PBE, the Materials Project), the powder diffractogram of Li6CoCl8 was computed for Cu Kα (weighted mean of Kα1 and Kα2).

Atomic structure:
```
data_Li6CoCl8
_chemical_formula_sum 'Li24 Co4 Cl32'
_space_group_name_H-M_alt 'F m -3 m'
_space_group_IT_number 225
_space_group_name_Hall '-F 4 2 3'
_cell_length_a 10.296
_cell_length_b 10.296
_cell_length_c 10.296
_cell_angle_alpha 90.00
_cell_angle_beta 90.00
_cell_angle_gamma 90.00
loop_
_atom_site_label
_atom_site_type_symbol
_atom_site_fract_x
_atom_site_fract_y
_atom_site_fract_z
_atom_site_occupancy
Li1 Li 0.000 0.250 0.250 1
Co1 Co 0.000 0.000 0.000 1
Cl1 Cl 0.000 0.000 0.237 1
Cl2 Cl 0.250 0.250 0.250 1
```

Main lines, sorted by position (2θ from 15° to 90°):
| hkl | Position (°2θ) | d [Å] | Rel. int. |
| --- | --- | --- | --- |
| 3 1 1 | 28.8 | 3.104 | 155 |
| 2 2 2 | 30.1 | 2.972 | 545 |
| 4 0 0 | 34.9 | 2.574 | 1000 |
| 5 1 1 | 45.8 | 1.982 | 127 |
| 4 4 0 | 50.1 | 1.820 | 615 |
| 6 2 2 | 59.6 | 1.552 | 148 |
| 4 4 4 | 62.5 | 1.486 | 194 |
| 8 4 0 | 84.1 | 1.151 | 238 |

[2]
Starting from a DFT-relaxed cell (GGA-PBE, the Materials Project), the powder diffractogram of CoN3Cl5 was computed for Cu Kα (weighted mean of Kα1 and Kα2).

Atomic structure:
```
data_CoN3Cl5
_chemical_formula_sum 'Co4 N12 Cl20'
_space_group_name_H-M_alt 'P n m a'
_space_group_IT_number 62
_space_group_name_Hall '-P 2ac 2n'
_cell_length_a 9.329
_cell_length_b 9.440
_cell_length_c 12.658
_cell_angle_alpha 90.00
_cell_angle_beta 90.00
_cell_angle_gamma 90.00
loop_
_atom_site_label
_atom_site_type_symbol
_atom_site_fract_x
_atom_site_fract_y
_atom_site_fract_z
_atom_site_occupancy
Co1 Co 0.182 0.250 0.108 1
N1 N 0.036 0.250 0.603 1
N2 N 0.110 0.026 0.818 1
Cl1 Cl 0.012 0.750 0.982 1
Cl2 Cl 0.097 0.750 0.317 1
Cl3 Cl 0.138 0.250 0.274 1
Cl4 Cl 0.195 0.564 0.571 1
```

Main lines, sorted by position (2θ from 15° to 90°):
| hkl | Position (°2θ) | d [Å] | Rel. int. |
| --- | --- | --- | --- |
| 1 1 1 | 15.1 | 5.877 | 1000 |
| 1 0 2 | 16.9 | 5.238 | 431 |
| 0 2 0 | 18.8 | 4.720 | 370 |
| 1 1 2 | 19.4 | 4.580 | 321 |
| 2 2 1 | 27.8 | 3.209 | 792 |
| 1 0 4 | 29.8 | 2.997 | 403 |
| 1 2 3 | 30.0 | 2.981 | 306 |
| 0 4 0 | 38.1 | 2.362 | 283 |

[3]
Starting from a DFT-relaxed cell (GGA-PBE, the Materials Project), the powder diffractogram of TlCoN6Cl6 was computed for Cu Kα (weighted mean of Kα1 and Kα2).

Atomic structure:
```
data_TlCoN6Cl6
_chemical_formula_sum 'Tl4 Co4 N24 Cl24'
_space_group_name_H-M_alt 'P a -3'
_space_group_IT_number 205
_space_group_name_Hall '-P 2ac 2ab 3'
_cell_length_a 10.935
_cell_length_b 10.935
_cell_length_c 10.935
_cell_angle_alpha 90.00
_cell_angle_beta 90.00
_cell_angle_gamma 90.00
loop_
_atom_site_label
_atom_site_type_symbol
_atom_site_fract_x
_atom_site_fract_y
_atom_site_fract_z
_atom_site_occupancy
Tl1 Tl 0.000 0.000 0.000 1
Co1 Co 0.000 0.000 0.500 1
N1 N 0.068 0.085 0.639 1
Cl1 Cl 0.078 0.682 0.214 1
```

Main lines, sorted by position (2θ from 15° to 90°):
| hkl | Position (°2θ) | d [Å] | Rel. int. |
| --- | --- | --- | --- |
| 2 0 0 | 16.2 | 5.468 | 875 |
| 2 2 0 | 23.0 | 3.866 | 1000 |
| 3 1 1 | 27.0 | 3.297 | 753 |
| 2 2 2 | 28.3 | 3.157 | 736 |
| 4 2 0 | 36.8 | 2.445 | 714 |
| 4 2 2 | 40.4 | 2.232 | 415 |
| 4 4 2 | 50.0 | 1.823 | 361 |
| 6 2 4 | 63.7 | 1.461 | 351 |

[4]
Starting from a DFT-relaxed cell (GGA-PBE, the Materials Project), the powder diffractogram of TlCoN6Cl6 was computed for Cu Kα (weighted mean of Kα1 and Kα2).

Atomic structure:
```
data_TlCoN6Cl6
_chemical_formula_sum 'Tl4 Co4 N24 Cl24'
_space_group_name_H-M_alt 'P 1'
_space_group_IT_number 1
_space_group_name_Hall 'P 1'
_cell_length_a 10.651
_cell_length_b 10.896
_cell_length_c 11.018
_cell_angle_alpha 89.90
_cell_angle_beta 89.90
_cell_angle_gamma 89.95
loop_
_atom_site_label
_atom_site_type_symbol
_atom_site_fract_x
_atom_site_fract_y
_atom_site_fract_z
_atom_site_occupancy
Tl1 Tl 0.000 0.000 0.000 1
Tl2 Tl 0.034 0.463 0.525 1
Tl3 Tl 0.500 0.944 0.500 1
Tl4 Tl 0.548 0.478 0.941 1
Co1 Co 0.014 0.002 0.484 1
Co2 Co 0.019 0.510 0.970 1
Co3 Co 0.492 0.999 0.972 1
Co4 Co 0.519 0.511 0.470 1
N1 N 0.040 0.077 0.320 1
N2 N 0.050 0.434 0.820 1
N3 N 0.060 0.662 0.919 1
N4 N 0.088 0.842 0.423 1
N5 N 0.149 0.450 0.051 1
N6 N 0.169 0.046 0.524 1
N7 N 0.348 0.963 0.037 1
N8 N 0.349 0.538 0.540 1
N9 N 0.416 0.358 0.416 1
N10 N 0.436 0.162 0.920 1
N11 N 0.456 0.585 0.311 1
N12 N 0.469 0.925 0.818 1
N13 N 0.548 0.428 0.617 1
N14 N 0.558 0.081 0.120 1
N15 N 0.559 0.663 0.518 1
N16 N 0.586 0.852 0.010 1
N17 N 0.649 0.446 0.390 1
N18 N 0.661 0.048 0.897 1
N19 N 0.847 0.541 0.900 1
N20 N 0.856 0.953 0.390 1
N21 N 0.915 0.362 0.019 1
N22 N 0.936 0.154 0.517 1
N23 N 0.946 0.920 0.610 1
N24 N 0.954 0.587 0.127 1
Cl1 Cl 0.054 0.770 0.296 1
Cl2 Cl 0.057 0.714 0.778 1
Cl3 Cl 0.173 0.052 0.242 1
Cl4 Cl 0.196 0.443 0.759 1
Cl5 Cl 0.227 0.188 0.524 1
Cl6 Cl 0.232 0.325 0.021 1
Cl7 Cl 0.273 0.671 0.518 1
Cl8 Cl 0.275 0.826 0.026 1
Cl9 Cl 0.327 0.937 0.749 1
Cl10 Cl 0.328 0.547 0.240 1
Cl11 Cl 0.449 0.218 0.782 1
Cl12 Cl 0.457 0.261 0.306 1
Cl13 Cl 0.550 0.766 0.131 1
Cl14 Cl 0.563 0.713 0.662 1
Cl15 Cl 0.682 0.041 0.198 1
Cl16 Cl 0.687 0.445 0.689 1
Cl17 Cl 0.728 0.184 0.923 1
Cl18 Cl 0.732 0.322 0.423 1
Cl19 Cl 0.770 0.828 0.423 1
Cl20 Cl 0.774 0.676 0.922 1
Cl21 Cl 0.825 0.957 0.696 1
Cl22 Cl 0.829 0.547 0.204 1
Cl23 Cl 0.952 0.218 0.656 1
Cl24 Cl 0.955 0.265 0.132 1
```

Main lines, sorted by position (2θ from 15° to 90°):
| hkl | Position (°2θ) | d [Å] | Rel. int. |
| --- | --- | --- | --- |
| 0 0 2 | 16.1 | 5.509 | 497 |
| 0 2 0 | 16.3 | 5.448 | 487 |
| 2 0 0 | 16.6 | 5.326 | 472 |
| 0 2 2 | 23.0 | 3.874 | 313 |
| 2 0 2 | 23.2 | 3.829 | 306 |
| 2 2 0 | 23.4 | 3.808 | 297 |
| 1 -3 1 | 27.2 | 3.282 | 286 |
| 2 2 2 | 28.5 | 3.133 | 1000 |

[5]
Starting from a DFT-relaxed cell (GGA-PBE, the Materials Project), the powder diffractogram of Rb2CoCl4 was computed for Cu Kα (weighted mean of Kα1 and Kα2).

Atomic structure:
```
data_Rb2CoCl4
_chemical_formula_sum 'Rb8 Co4 Cl16'
_space_group_name_H-M_alt 'P n m a'
_space_group_IT_number 62
_space_group_name_Hall '-P 2ac 2n'
_cell_length_a 9.451
_cell_length_b 7.342
_cell_length_c 13.032
_cell_angle_alpha 90.00
_cell_angle_beta 90.00
_cell_angle_gamma 90.00
loop_
_atom_site_label
_atom_site_type_symbol
_atom_site_fract_x
_atom_site_fract_y
_atom_site_fract_z
_atom_site_occupancy
Rb1 Rb 0.017 0.250 0.174 1
Rb2 Rb 0.133 0.750 0.415 1
Co1 Co 0.230 0.750 0.076 1
Cl1 Cl 0.008 0.250 0.912 1
Cl2 Cl 0.179 0.000 0.651 1
Cl3 Cl 0.186 0.250 0.413 1
```

Main lines, sorted by position (2θ from 15° to 90°):
| hkl | Position (°2θ) | d [Å] | Rel. int. |
| --- | --- | --- | --- |
| 1 1 2 | 20.5 | 4.332 | 436 |
| 0 1 3 | 23.8 | 3.739 | 855 |
| 0 2 0 | 24.2 | 3.671 | 889 |
| 0 0 4 | 27.4 | 3.258 | 464 |
| 2 0 3 | 27.9 | 3.198 | 414 |
| 3 0 1 | 29.2 | 3.062 | 636 |
| 2 2 1 | 31.6 | 2.828 | 1000 |
| 2 2 3 | 37.3 | 2.411 | 391 |

[6]
Starting from a DFT-relaxed cell (GGA-PBE, the Materials Project), the powder diffractogram of RbCoCl3 was computed for Cu Kα (weighted mean of Kα1 and Kα2).

Atomic structure:
```
data_RbCoCl3
_chemical_formula_sum 'Rb2 Co2 Cl6'
_space_group_name_H-M_alt 'P 63/m m c'
_space_group_IT_number 194
_space_group_name_Hall '-P 6c 2c'
_cell_length_a 7.1599
_cell_length_b 7.1599
_cell_length_c 5.8935
_cell_angle_alpha 90.00
_cell_angle_beta 90.00
_cell_angle_gamma 120.00
loop_
_atom_site_label
_atom_site_type_symbol
_atom_site_fract_x
_atom_site_fract_y
_atom_site_fract_z
_atom_site_occupancy
Rb1 Rb 0.3333 0.6667 0.2500 1
Co1 Co 0.0000 0.0000 0.0000 1
Cl1 Cl 0.1559 0.3119 0.7500 1
```

Main lines, sorted by position (2θ from 15° to 90°):
| hkl | Position (°2θ) | d [Å] | Rel. int. |
| --- | --- | --- | --- |
| 1 0 1 | 20.8 | 4.272 | 247 |
| 1 1 0 | 24.9 | 3.580 | 468 |
| 2 0 1 | 32.6 | 2.744 | 1000 |
| 1 0 2 | 33.7 | 2.662 | 208 |
| 2 0 2 | 42.3 | 2.136 | 418 |
| 2 1 2 | 49.7 | 1.834 | 228 |
| 2 2 0 | 51.0 | 1.790 | 288 |
| 2 0 3 | 55.4 | 1.659 | 193 |